Starting from DFT lattice parameters and positions (PBE), the powder diffractogram of RbInP2O8 was simulated for Cu Ka.
Intensities are scaled so that the largest is 100.

Structure:
```
data_RbInP2O8
_cell_length_a 5.3057
_cell_length_b 5.3057
_cell_length_c 8.2873
_cell_angle_alpha 90.00
_cell_angle_beta 90.00
_cell_angle_gamma 120.00
_space_group_name_H-M_alt 'P -3'
_space_group_IT_number 147
loop_
_space_group_symop_operation_xyz
'x,y,z'
'-x,-y,-z'
'-y,x-y,z'
'y,-x+y,-z'
'-x+y,-x,z'
'x-y,x,-z'
loop_
_atom_site_label
_atom_site_fract_x
_atom_site_fract_y
_atom_site_fract_z
Rb1 0.0000 0.0000 0.0000
In1 0.0000 0.0000 0.5000
P1 0.3333 0.6667 0.7111
O1 0.0977 0.3597 0.6575
O2 0.3333 0.6667 0.8984
```

The 10 most intense peaks (2θ = 5–70°), low angle first:
hkl	2θ/deg	d/Å	I (rel.)
0 0 1	10.7	8.287	20
1 0 0	19.3	4.595	65
0 1 1	22.1	4.019	43
0 1 2	29.0	3.077	100
1 1 0	33.8	2.653	44
2 -1 2	40.4	2.234	26
0 2 2	45.1	2.009	33
1 0 4	48.2	1.889	21
1 1 4	56.3	1.633	17
3 -2 2	57.5	1.602	26